No. 1
H6PbCI3N: calculated X-ray powder pattern (Cu Kα (weighted mean of Kα1 and Kα2)), based on a cell relaxed with GGA-PBE.
No peak broadening, texture or thermal motion is included.

Cell and atoms:
```
H6PbCI3N
1.0
9.013 0.000 0.000
0.000 12.741 0.000
0.000 0.000 8.920
H Pb C I N
24 4 4 12 4
direct
0.078 0.185 0.103 H
0.078 0.315 0.103 H
0.089 0.679 0.112 H
0.089 0.821 0.112 H
0.154 0.250 0.960 H
0.168 0.750 0.957 H
0.332 0.250 0.457 H
0.346 0.750 0.460 H
0.411 0.179 0.612 H
0.411 0.321 0.612 H
0.422 0.685 0.603 H
0.422 0.815 0.603 H
0.578 0.185 0.397 H
0.578 0.315 0.397 H
0.589 0.679 0.388 H
0.589 0.821 0.388 H
0.654 0.250 0.540 H
0.668 0.750 0.543 H
0.832 0.250 0.043 H
0.846 0.750 0.040 H
0.911 0.179 0.888 H
0.911 0.321 0.888 H
0.922 0.685 0.897 H
0.922 0.815 0.897 H
0.000 0.000 0.500 Pb
0.000 0.500 0.500 Pb
0.500 0.000 0.000 Pb
0.500 0.500 0.000 Pb
0.081 0.750 0.042 C
0.419 0.250 0.542 C
0.581 0.750 0.458 C
0.919 0.250 0.958 C
0.022 0.750 0.558 I
0.199 0.018 0.803 I
0.199 0.482 0.803 I
0.301 0.518 0.303 I
0.301 0.982 0.303 I
0.478 0.250 0.058 I
0.522 0.750 0.942 I
0.699 0.018 0.697 I
0.699 0.482 0.697 I
0.801 0.518 0.197 I
0.801 0.982 0.197 I
0.978 0.250 0.442 I
0.066 0.250 0.035 N
0.434 0.750 0.535 N
0.566 0.250 0.465 N
0.934 0.750 0.965 N
```

Most intense lines, 10 to 90 degrees two-theta, sorted by position:
hkl  2θ/deg  Rel. int.
0 2 0  13.94  100.0
2 0 0  19.74  11.1
1 2 2  26.32  11.2
0 4 0  28.01  31.4
2 0 2  28.15  39.5
3 0 1  31.43  40.1
2 2 2  31.52  17.7
1 0 3  31.69  13.1
1 2 3  34.75  11.0
2 4 2  40.13  28.3
3 4 1  42.59  20.2
1 4 3  42.80  11.5

No. 2
Nd2Ho2O5: calculated X-ray powder pattern (Cu Kα (weighted mean of Kα1 and Kα2)), based on a cell relaxed with GGA-PBE.
No peak broadening, texture or thermal motion is included.

Cell and atoms:
```
Nd2Ho2O5
1.0
3.856 0.000 0.000
0.000 3.856 0.000
0.000 0.000 11.068
Nd Ho O
2 2 5
direct
0.000 0.000 0.225 Nd
0.000 0.000 0.775 Nd
0.500 0.500 0.000 Ho
0.500 0.500 0.500 Ho
0.000 0.000 0.500 O
0.000 0.500 0.125 O
0.000 0.500 0.875 O
0.500 0.000 0.125 O
0.500 0.000 0.875 O
```

Most intense lines, 10 to 90 degrees two-theta, sorted by position:
hkl  2θ/deg  Rel. int.
1 0 2  28.21  100.0
0 0 4  32.35  13.4
1 1 0  32.85  31.4
1 1 4  46.77  30.0
2 0 0  47.14  17.2
1 0 6  55.20  10.7
2 1 2  55.84  30.2
2 0 4  58.33  10.9
2 1 6  75.46  8.6
3 0 2  76.01  6.1
3 1 0  78.43  5.5
3 1 4  87.40  9.6

No. 3
Ga2SbTe4Cl7: calculated X-ray powder pattern (Cu Kα (weighted mean of Kα1 and Kα2)), based on a cell relaxed with GGA-PBE.
No peak broadening, texture or thermal motion is included.

Cell and atoms:
```
Ga2SbTe4Cl7
1.0
7.356 0.000 0.000
0.000 19.524 0.000
-6.428 0.000 13.270
Ga Sb Te Cl
8 4 16 28
direct
0.069 0.220 0.265 Ga
0.069 0.280 0.765 Ga
0.265 0.647 0.945 Ga
0.265 0.853 0.445 Ga
0.735 0.147 0.555 Ga
0.735 0.353 0.055 Ga
0.931 0.720 0.235 Ga
0.931 0.780 0.735 Ga
0.180 0.017 0.916 Sb
0.180 0.483 0.416 Sb
0.820 0.517 0.584 Sb
0.820 0.983 0.084 Sb
0.100 0.602 0.507 Te
0.100 0.898 0.007 Te
0.440 0.015 0.250 Te
0.440 0.485 0.750 Te
0.460 0.612 0.682 Te
0.460 0.888 0.182 Te
0.491 0.080 0.093 Te
0.491 0.420 0.593 Te
0.509 0.580 0.407 Te
0.509 0.920 0.907 Te
0.540 0.112 0.818 Te
0.540 0.388 0.318 Te
0.560 0.515 0.250 Te
0.560 0.985 0.750 Te
0.900 0.102 0.993 Te
0.900 0.398 0.493 Te
0.002 0.085 0.638 Cl
0.002 0.415 0.138 Cl
0.008 0.114 0.286 Cl
0.008 0.386 0.786 Cl
0.185 0.218 0.902 Cl
0.185 0.282 0.402 Cl
0.239 0.233 0.178 Cl
0.239 0.267 0.678 Cl
0.254 0.738 0.836 Cl
0.254 0.762 0.336 Cl
0.287 0.697 0.081 Cl
0.287 0.803 0.581 Cl
0.460 0.094 0.534 Cl
0.460 0.406 0.034 Cl
0.540 0.594 0.966 Cl
0.540 0.906 0.466 Cl
0.713 0.197 0.419 Cl
0.713 0.303 0.919 Cl
0.746 0.238 0.664 Cl
0.746 0.262 0.164 Cl
0.761 0.733 0.322 Cl
0.761 0.767 0.822 Cl
0.815 0.718 0.598 Cl
0.815 0.782 0.098 Cl
0.992 0.614 0.214 Cl
0.992 0.886 0.714 Cl
0.998 0.585 0.862 Cl
0.998 0.915 0.362 Cl
```

Most intense lines, 10 to 90 degrees two-theta, sorted by position:
hkl  2θ/deg  Rel. int.
1 2 0  16.17  56.5
0 4 2  22.62  37.5
1 3 -3  23.16  64.7
2 0 -2  24.26  47.6
1 2 2  24.52  37.1
2 3 -1  28.29  49.6
1 1 3  29.12  61.1
1 5 -3  29.59  100.0
1 6 -1  30.04  36.2
0 3 4  30.24  53.4
1 6 -4  36.88  60.5
1 2 -7  44.57  39.4